The following is a computed powder diffraction line list of Rb3SbAu2. It was derived from a PBE-relaxed structure, using copper Kα.
Lines closer than 0.1° are merged.

Main lines, in order of rising 2θ (10 to 80 degrees two-theta):
Position (°2θ)  I (rel.)  index
14.77  100  1 1 -1
19.53  49  1 1 1
24.33  55  1 1 -3
25.83  46  1 1 2
31.44  61  1 1 -4
32.87  56  2 3 -1

Structural model:
abc: 6.9157 13.3334 11.6776
angles: 90.00 111.18 90.00
Space group P2_1/c (No. 14)
Symmetry-distinct sites (fractional):
Rb 0.1593 0.2303 0.3403
Rb 0.2368 0.6036 0.9744
Rb 0.2912 0.5656 0.5773
Sb 0.4507 0.6924 0.3239
Au 0.2013 0.5217 0.2514
Au 0.3391 0.1355 0.6508

---

The following is a computed powder diffraction line list of DyHf11. It was derived from a PBE-relaxed structure, using copper Kα.
Lines closer than 0.1° are merged.

Main lines, in order of rising 2θ (10 to 80 degrees two-theta):
Position (°2θ)  I (rel.)  index
33.63  25  1 1 1
35.21  53  2 0 1
35.54  100  2 2 0
39.60  20  2 1 1
50.90  17  4 0 1
70.71  27  2 2 2

Structural model:
abc: 10.1029 10.1029 3.1365
angles: 90.00 90.00 120.00
Space group P6/mmm (No. 191)
Symmetry-distinct sites (fractional):
Dy 0.0000 0.0000 0.0000
Hf 0.0000 0.5000 0.0000
Hf 0.1775 0.3550 0.5000
Hf 0.3333 0.6667 0.0000

---

The following is a computed powder diffraction line list of TiGa2Cu2. It was derived from a PBE-relaxed structure, using copper Kα.
Lines closer than 0.1° are merged.

Main lines, in order of rising 2θ (10 to 80 degrees two-theta):
Position (°2θ)  I (rel.)  index
25.65  27  1 0 1
34.32  32  1 0 3
38.37  100  1 1 2
47.57  40  1 0 5
47.88  52  1 1 4
49.93  51  2 0 0

Structural model:
abc: 3.6529 3.6529 11.2165
angles: 90.00 90.00 90.00
Space group I4/mmm (No. 139)
Symmetry-distinct sites (fractional):
Ti 0.0000 0.0000 0.0000
Ga 0.0000 0.0000 0.3945
Cu 0.0000 0.5000 0.2500

---

The following is a computed powder diffraction line list of Pr4Dy3Tm2. It was derived from a PBE-relaxed structure, using copper Kα.
Lines closer than 0.1° are merged.

Main lines, in order of rising 2θ (10 to 80 degrees two-theta):
Position (°2θ)  I (rel.)  index
31.06  100  1 3 2
31.34  34  0 6 0
31.51  68  3 3 0
44.73  23  2 6 2
55.89  23  3 9 0
61.61  30  3 3 4

Structural model:
abc: 9.8198 17.1249 7.0969
angles: 90.00 90.00 90.00
Space group Cccm (No. 66)
Symmetry-distinct sites (fractional):
Pr 0.1652 0.0123 0.0000
Pr 0.1829 0.3385 0.5000
Dy 0.0000 0.1723 0.2500
Dy 0.0000 0.5000 0.2500
Tm 0.1518 0.3277 0.0000

---

The following is a computed powder diffraction line list of MnAlPt4. It was derived from a PBE-relaxed structure, using copper Kα.
Lines closer than 0.1° are merged.

Main lines, in order of rising 2θ (10 to 80 degrees two-theta):
Position (°2θ)  I (rel.)  index
24.87  84  2 0 -2
36.71  100  1 1 1
39.08  65  2 0 2
42.52  33  4 0 -2
44.76  61  3 1 -1
44.94  60  1 1 -3

Structural model:
abc: 8.5455 2.8896 8.4857
angles: 90.00 114.45 90.00
Space group C2/m (No. 12)
Symmetry-distinct sites (fractional):
Mn 0.0000 0.0000 0.0000
Al 0.0000 0.5000 0.5000
Pt 0.1438 0.0000 0.3543
Pt 0.1545 0.5000 0.8464

---

The following is a computed powder diffraction line list of FeCuH3. It was derived from a PBE-relaxed structure, using copper Kα.
Lines closer than 0.1° are merged.

Main lines, in order of rising 2θ (10 to 80 degrees two-theta):
Position (°2θ)  I (rel.)  index
36.71  100  0 2 1
40.76  74  2 2 0
44.24  27  0 4 0
45.50  50  2 0 1
65.33  33  2 4 1
75.65  20  2 2 2

Structural model:
abc: 5.2627 8.1902 3.0543
angles: 90.00 90.00 90.00
Space group Cmmm (No. 65)
Symmetry-distinct sites (fractional):
Fe 0.0000 0.2402 0.0000
Cu 0.2399 0.5000 0.5000
H 0.0000 0.1562 0.5000
H 0.2311 0.3761 0.0000

---

The following is a computed powder diffraction line list of MgNiIrRu. It was derived from a PBE-relaxed structure, using copper Kα.
Lines closer than 0.1° are merged.

Main lines, in order of rising 2θ (10 to 80 degrees two-theta):
Position (°2θ)  I (rel.)  index
25.35  36  1 1 1
29.35  14  2 0 0
41.99  100  2 2 0
49.68  18  3 1 1
60.89  16  4 0 0
76.71  33  4 2 2

Structural model:
abc: 6.0861 6.0861 6.0861
angles: 90.00 90.00 90.00
Space group F-43m (No. 216)
Symmetry-distinct sites (fractional):
Mg 0.0000 0.0000 0.0000
Ni 0.2500 0.2500 0.2500
Ir 0.2500 0.2500 0.7500
Ru 0.0000 0.0000 0.5000

---

The following is a computed powder diffraction line list of PmAuSe2O8. It was derived from a PBE-relaxed structure, using copper Kα.
Lines closer than 0.1° are merged.

Main lines, in order of rising 2θ (10 to 80 degrees two-theta):
Position (°2θ)  I (rel.)  index
18.44  80  1 0 0
21.88  51  1 0 1
30.01  100  0 1 2
32.22  75  1 1 0
44.61  46  2 0 2
56.09  36  1 2 2

Structural model:
abc: 5.5564 5.5564 7.5807
angles: 90.00 90.00 120.00
Space group P-3m1 (No. 164)
Symmetry-distinct sites (fractional):
Pm 0.0000 0.0000 0.0000
Au 0.0000 0.0000 0.5000
Se 0.3333 0.6667 0.1812
O 0.1662 0.3324 0.2478
O 0.3333 0.6667 0.9606

---

The following is a computed powder diffraction line list of La2Pu4Te3N2. It was derived from a PBE-relaxed structure, using copper Kα.
Lines closer than 0.1° are merged.

Main lines, in order of rising 2θ (10 to 80 degrees two-theta):
Position (°2θ)  I (rel.)  index
13.28  19  0 0 4
28.01  40  1 1 2
30.37  31  1 1 4
33.97  100  1 1 6
38.83  46  2 0 0
67.20  29  3 1 6

Structural model:
abc: 4.6388 4.6388 26.6638
angles: 90.00 90.00 90.00
Space group I4/mmm (No. 139)
Symmetry-distinct sites (fractional):
La 0.0000 0.0000 0.1962
Pu 0.0000 0.5000 0.0843
Te 0.0000 0.0000 0.3239
Te 0.0000 0.0000 0.5000
N 0.0000 0.0000 0.1047

---

The following is a computed powder diffraction line list of Cs2Na5. It was derived from a PBE-relaxed structure, using copper Kα.
Lines closer than 0.1° are merged.

Main lines, in order of rising 2θ (10 to 80 degrees two-theta):
Position (°2θ)  I (rel.)  index
12.37  79  2 0 -1
16.07  81  1 1 0
17.18  84  1 1 -1
20.66  96  1 1 1
25.07  82  3 1 0
25.39  100  3 1 -2

Structural model:
abc: 14.9584 6.0756 10.0159
angles: 90.00 118.62 90.00
Space group C2/m (No. 12)
Symmetry-distinct sites (fractional):
Cs 0.1412 0.0000 0.2631
Na 0.0000 0.5000 0.5000
Na 0.1262 0.0000 0.7027
Na 0.1465 0.5000 0.9287

---

The following is a computed powder diffraction line list of AlInHg2Se4. It was derived from a PBE-relaxed structure, using copper Kα.
Lines closer than 0.1° are merged.

Main lines, in order of rising 2θ (10 to 80 degrees two-theta):
Position (°2θ)  I (rel.)  index
15.66  16  0 1 -1
24.54  100  1 1 0
32.18  15  1 -2 0
39.91  24  2 2 -2
40.97  46  2 0 1
47.41  32  -3 1 2

Structural model:
abc: 6.3893 6.3897 7.5759
angles: 114.90 114.94 90.00
Space group P1 (No. 1)
Symmetry-distinct sites (fractional):
Al 0.0000 0.0000 0.0000
In 0.2494 0.7494 0.4999
Hg 0.4999 0.5005 0.0000
Hg 0.7499 0.2498 0.5000
Se 0.1037 0.1095 0.7701
Se 0.3393 0.8966 0.2303
Se 0.6667 0.6606 0.7698
Se 0.8901 0.3331 0.2296

---

The following is a computed powder diffraction line list of Mn3Cr3Si7Ni16. It was derived from a PBE-relaxed structure, using copper Kα.
Lines closer than 0.1° are merged.

Main lines, in order of rising 2θ (10 to 80 degrees two-theta):
Position (°2θ)  I (rel.)  index
39.86  19  0 1 8
42.39  100  3 0 3
46.36  95  2 0 8
48.61  31  2 2 3
49.35  18  0 3 6
72.37  19  3 3 0

Structural model:
abc: 7.8362 7.8362 19.1853
angles: 90.00 90.00 120.00
Space group R3m (No. 160, hexagonal axes)
Symmetry-distinct sites (fractional):
Mn 0.2052 0.4105 0.0000
Cr 0.0778 0.5389 0.1289
Si 0.0000 0.0000 0.8965
Si 0.0027 0.5013 0.3978
Si 0.1673 0.3346 0.2291
Ni 0.0000 0.0000 0.0144
Ni 0.0000 0.0000 0.2322
Ni 0.0000 0.0000 0.5640
Ni 0.0000 0.0000 0.7791
Ni 0.0192 0.5096 0.5246
Ni 0.1095 0.5547 0.7849
Ni 0.1766 0.3533 0.6030
Ni 0.2199 0.4397 0.3414

---

The following is a computed powder diffraction line list of K2RbNa5Pb2. It was derived from a PBE-relaxed structure, using copper Kα.
Lines closer than 0.1° are merged.

Main lines, in order of rising 2θ (10 to 80 degrees two-theta):
Position (°2θ)  I (rel.)  index
10.09  63  1 1 0
16.03  100  0 0 1
22.72  36  3 1 0
25.94  60  3 2 0
27.93  38  3 1 1
30.65  88  3 2 1

Structural model:
abc: 12.3926 12.3926 5.5162
angles: 90.00 90.00 90.00
Space group P4/mbm (No. 127)
Symmetry-distinct sites (fractional):
K 0.1879 0.3121 0.0000
Rb 0.0000 0.0000 0.0000
Na 0.0000 0.5000 0.5000
Na 0.0606 0.7622 0.5000
Pb 0.0999 0.5999 0.0000